[1]
Structure and computed powder diffraction line list of Ni3Rh (a DFT-relaxed cell (GGA-PBE, Alexandria); Cu Kα).
Kinematic intensities with the Lorentz-polarization factor, no thermal factor.

Structure:
a b c (Å): 4.4728 8.3309 5.1283
angles (deg): 90.00 90.00 90.00
Fractional coordinates of all 16 atoms:
Ni 0.0832 0.2500 0.1275
Ni 0.2450 0.5022 0.8734
Ni 0.2450 0.9978 0.8734
Ni 0.2550 0.0022 0.3734
Ni 0.2550 0.4978 0.3734
Ni 0.4168 0.7500 0.6275
Ni 0.5832 0.2500 0.3725
Ni 0.7450 0.5022 0.6266
Ni 0.7450 0.9978 0.6266
Ni 0.7550 0.0022 0.1266
Ni 0.7550 0.4978 0.1266
Ni 0.9168 0.7500 0.8725
Rh 0.0778 0.2500 0.6199
Rh 0.4222 0.7500 0.1199
Rh 0.5778 0.2500 0.8801
Rh 0.9222 0.7500 0.3801

The 10 most intense peaks (5 to 70 degrees two-theta), in order of falling intensity:
(1 2 2), 46.27°, I 100.0
(1 1 2), 42.04°, I 66.4
(0 4 0), 43.45°, I 60.9
(2 2 0), 46.07°, I 55.3
(1 3 2), 52.72°, I 33.4
(2 1 0), 41.82°, I 31.2
(2 3 0), 52.54°, I 15.8
(0 2 0), 21.33°, I 7.3
(0 1 1), 20.33°, I 5.9
(1 2 1), 34.22°, I 5.3

=====

[2]
Structure and computed powder diffraction line list of La8Nd6Sc (a DFT-relaxed cell (GGA-PBE, Alexandria); Cu Kα).
Kinematic intensities with the Lorentz-polarization factor, no thermal factor.

Structure:
a b c (Å): 9.5565 9.5565 6.7241
angles (deg): 90.00 90.00 120.00
Fractional coordinates of all 15 atoms:
La 0.0424 0.7627 0.1783
La 0.2373 0.2797 0.1783
La 0.2797 0.0424 0.8217
La 0.3333 0.6667 0.1254
La 0.6667 0.3333 0.8746
La 0.7203 0.9576 0.1783
La 0.7627 0.7203 0.8217
La 0.9576 0.2373 0.8217
Nd 0.0938 0.6556 0.6608
Nd 0.3444 0.4381 0.6608
Nd 0.4381 0.0938 0.3392
Nd 0.5619 0.9062 0.6608
Nd 0.6556 0.5619 0.3392
Nd 0.9062 0.3444 0.3392
Sc 0.0000 0.0000 0.5000

The 10 most intense peaks (5 to 70 degrees two-theta), in order of falling intensity:
(3 -1 1), 31.54°, I 100.0
(1 1 2), 32.56°, I 44.3
(1 2 0), 28.54°, I 33.3
(1 0 2), 28.66°, I 21.9
(2 3 1), 49.91°, I 14.6
(0 2 1), 25.27°, I 14.6
(4 1 0), 50.54°, I 13.6
(3 0 0), 32.45°, I 12.5
(6 -4 1), 60.80°, I 11.7
(4 -3 2), 47.98°, I 10.5